Computed X-ray diffraction stick pattern
Compound: Sm2Cd2Ag15
Radiation: Cu Kα, 1.54184 Å
Structure: a structure optimized by DFT (PBE)
Lines closer than 0.1° are merged.

Main lines, low angle first (2θ from 5° to 70°):
| d (Å) | I_rel |
| --- | --- |
| 2.793 | 38.0 |
| 2.720 | 30.6 |
| 2.419 | 58.8 |
| 2.410 | 100.0 |
| 2.384 | 34.2 |
| 2.157 | 65.8 |
| 1.397 | 25.5 |
| 1.381 | 19.5 |

Crystal structure
Unit cell a=9.6755 b=9.6755 c=14.3021 alpha=90.00 beta=90.00 gamma=120.00
Space group R-3m (No. 166, hexagonal axes)
Asymmetric unit:
1 Sm 0.0000 0.0000 0.1488 x6
2 Cd 0.0000 0.0000 0.3955 x6
3 Ag 0.0000 0.3063 0.5000 x18
4 Ag 0.0000 0.5000 0.0000 x9
5 Ag 0.0071 0.5036 0.6519 x18